For CeIn8Hg6, a PBE-relaxed structure gives the theoretical PXRD pattern in this record (Cu Kα, 1.54184 Å).
Neutral-atom scattering factors, no anomalous dispersion.

Peak list (10 most intense, 10° ≤ 2θ ≤ 90°, by angle)
2theta	I/Imax
15.99	137
24.54	218
24.98	199
31.26	680
34.97	1000
37.18	366
38.68	520
53.13	162
60.20	224
63.76	138

Atomic structure:
```
15
Lattice="4.6556 2.6879 5.5431 -4.6556 2.6879 5.5431 0.0000 -5.3758 5.5431" Properties=species:S:1:pos:R:3 pbc="T T T"
Ce 0.0000 0.0000 0.0000
In 0.0000 -2.0083 4.4084
In -1.7392 1.0041 4.4084
In 0.0000 0.0000 6.8088
In -1.7392 -1.0041 12.2209
In 1.7392 1.0042 4.4084
In 0.0000 0.0000 9.8205
In 1.7392 -1.0042 12.2209
In 0.0000 2.0083 12.2209
Hg -2.5441 -1.4688 8.9683
Hg 0.0000 -2.9376 7.6611
Hg -2.5441 1.4688 7.6611
Hg 2.5441 -1.4688 8.9683
Hg 0.0000 2.9376 8.9683
Hg 2.5441 1.4688 7.6611
```

For Ti4RuN, a PBE-relaxed structure gives the theoretical PXRD pattern in this record (Cu Kα, 1.54184 Å).
Neutral-atom scattering factors, no anomalous dispersion.

Peak list (10 most intense, 10° ≤ 2θ ≤ 90°, by angle)
2theta	I/Imax
17.40	304
24.27	1000
30.02	653
35.23	850
38.83	347
40.12	382
46.45	344
46.82	817
49.73	370
59.51	481

Atomic structure:
```
12
Lattice="-3.6668 3.6668 3.5421 3.6668 -3.6668 3.5421 3.6668 3.6668 -3.5421" Properties=species:S:1:pos:R:3 pbc="T T T"
Ti 3.6668 1.3921 -0.5685
Ti 1.3921 0.0000 1.2025
Ti 5.9416 0.0000 1.2025
Ti 0.0000 2.1653 0.0000
Ti 0.0000 5.1684 0.0000
Ti 0.0000 2.2747 2.9736
Ti 2.1653 3.6668 1.7711
Ti 1.5015 0.0000 5.3132
Ru 3.6668 0.0000 1.5947
Ru 0.0000 0.0000 3.3657
N 0.0000 3.6668 1.4002
N 0.0000 0.0000 6.7134
```

For K6Na2Ag, a PBE-relaxed structure gives the theoretical PXRD pattern in this record (Cu Kα, 1.54184 Å).
Neutral-atom scattering factors, no anomalous dispersion.

Peak list (10 most intense, 10° ≤ 2θ ≤ 90°, by angle)
2theta	I/Imax
11.05	1000
13.16	618
16.96	409
19.62	343
24.17	539
24.31	710
25.40	803
26.55	990
31.80	521
41.72	380

Atomic structure:
```
18
Lattice="8.0194 0.0000 0.0000 0.0000 12.4443 0.0000 -7.2420 0.0000 10.4538" Properties=species:S:1:pos:R:3 pbc="T T T"
K -2.4786 1.8022 4.8849
K -6.0996 4.4200 10.1118
K -0.7769 9.2877 4.5815
K -4.3979 9.3788 9.8084
K 1.1521 0.5062 1.9841
K -2.4689 5.7160 7.2110
K 3.2464 6.7283 3.2428
K -0.3746 11.9381 8.4697
K 5.1754 3.0655 0.6454
K 1.5544 3.1566 5.8723
K 6.8770 8.0243 0.3420
K 3.2560 10.6421 5.5689
Na -4.3552 0.8862 8.6240
Na -0.7342 5.3360 3.3971
Na 1.5116 7.1084 7.0567
Na 5.1326 11.5581 1.8298
Ag 0.3887 0.0000 5.2269
Ag 4.0097 6.2222 0.0000
```

For Na5B7C3, a PBE-relaxed structure gives the theoretical PXRD pattern in this record (Cu Kα, 1.54184 Å).
Neutral-atom scattering factors, no anomalous dispersion.

Peak list (10 most intense, 10° ≤ 2θ ≤ 90°, by angle)
2theta	I/Imax
34.79	123
36.37	167
40.81	483
42.07	383
42.20	1000
56.80	99
63.40	164
76.97	128
79.04	158
81.01	96

Atomic structure:
```
30
Lattice="1.4068 -12.8949 0.0000 1.4068 12.8949 0.0000 0.0000 0.0000 8.5914" Properties=species:S:1:pos:R:3 pbc="T T T"
Na 0.0000 0.0000 0.0000
Na 0.0000 0.0000 4.2957
Na 1.4068 7.7092 4.3048
Na 1.4068 7.7092 8.5822
Na 1.4068 2.6306 0.0303
Na 1.4068 2.6306 4.2654
Na 1.4068 -2.6306 4.3260
Na 1.4068 -2.6306 8.5611
Na 1.4068 -7.7092 0.0091
Na 1.4068 -7.7092 4.2865
B 1.4068 10.9933 6.4435
B 1.4068 10.8862 2.1478
B 1.4068 9.2413 6.4435
B 1.4068 6.0896 2.1478
B 1.4068 4.3886 6.4435
B 1.4068 0.8939 6.4435
B 1.4068 0.7874 2.1478
B 1.4068 -0.7874 6.4435
B 1.4068 -0.8939 2.1478
B 1.4068 -4.3886 2.1478
B 1.4068 -6.0896 6.4435
B 1.4068 -9.2413 2.1478
B 1.4068 -10.8862 6.4435
B 1.4068 -10.9933 2.1478
C 1.4068 9.3310 2.1478
C 1.4068 5.9960 6.4435
C 1.4068 4.4655 2.1478
C 1.4068 -4.4655 6.4435
C 1.4068 -5.9960 2.1478
C 1.4068 -9.3310 6.4435
```

Copy entry 3 word for word.
For K6Na2Ag, a PBE-relaxed structure gives the theoretical PXRD pattern in this record (Cu Kα, 1.54184 Å).
Neutral-atom scattering factors, no anomalous dispersion.

Peak list (10 most intense, 10° ≤ 2θ ≤ 90°, by angle)
2theta	I/Imax
11.05	1000
13.16	618
16.96	409
19.62	343
24.17	539
24.31	710
25.40	803
26.55	990
31.80	521
41.72	380

Atomic structure:
```
18
Lattice="8.0194 0.0000 0.0000 0.0000 12.4443 0.0000 -7.2420 0.0000 10.4538" Properties=species:S:1:pos:R:3 pbc="T T T"
K -2.4786 1.8022 4.8849
K -6.0996 4.4200 10.1118
K -0.7769 9.2877 4.5815
K -4.3979 9.3788 9.8084
K 1.1521 0.5062 1.9841
K -2.4689 5.7160 7.2110
K 3.2464 6.7283 3.2428
K -0.3746 11.9381 8.4697
K 5.1754 3.0655 0.6454
K 1.5544 3.1566 5.8723
K 6.8770 8.0243 0.3420
K 3.2560 10.6421 5.5689
Na -4.3552 0.8862 8.6240
Na -0.7342 5.3360 3.3971
Na 1.5116 7.1084 7.0567
Na 5.1326 11.5581 1.8298
Ag 0.3887 0.0000 5.2269
Ag 4.0097 6.2222 0.0000
```